(1)
For NpHgI6, a crystal structure in Alexandria, relaxed with GGA-PBE gives the theoretical powder X-ray diffraction pattern in this record (Cu Kα, 1.54184 Å).
Neutral-atom scattering factors, no anomalous dispersion.

Top 10 peaks for 5° ≤ 2θ ≤ 70°, sorted by position:
16.00°, d 5.539, I = 76; 21.84°, d 4.070, I = 33; 26.87°, d 3.318, I = 100; 35.14°, d 2.554, I = 76; 37.36°, d 2.407, I = 18; 41.37°, d 2.182, I = 51; 46.05°, d 1.971, I = 23; 50.03°, d 1.823, I = 17; 55.38°, d 1.659, I = 20; 69.25°, d 1.357, I = 22

Atomic structure:
abc: 7.5595 7.5595 20.7865
angles: 90.00 90.00 120.00
Space group R-3 (No. 148, hexagonal axes)
Symmetry-distinct sites (fractional):
Np 0.0000 0.0000 0.0000 [3 per cell]
Hg 0.0000 0.0000 0.5000 [3 per cell]
I 0.0003 0.3241 0.9175 [18 per cell]



(2)
For NpHg2I4, a crystal structure in Alexandria, relaxed with GGA-PBE gives the theoretical powder X-ray diffraction pattern in this record (Cu Kα, 1.54184 Å).
Neutral-atom scattering factors, no anomalous dispersion.

Top 10 peaks for 5° ≤ 2θ ≤ 70°, sorted by position:
16.00°, d 5.540, I = 35; 22.53°, d 3.946, I = 100; 25.76°, d 3.459, I = 50; 26.54°, d 3.359, I = 92; 27.64°, d 3.228, I = 31; 32.20°, d 2.780, I = 49; 33.66°, d 2.662, I = 50; 37.48°, d 2.400, I = 29; 40.50°, d 2.227, I = 35; 47.85°, d 1.901, I = 38

Atomic structure:
abc: 11.080 13.283 4.454
angles: 90.00 90.00 90.00
Space group Pbam (No. 55)
Symmetry-distinct sites (fractional):
Np 0.000 0.000 0.000 [2 per cell]
Hg 0.060 0.381 0.500 [4 per cell]
I 0.135 0.812 0.000 [4 per cell]
I 0.165 0.082 0.500 [4 per cell]



(3)
For NpHgI4, a crystal structure in Alexandria, relaxed with GGA-PBE gives the theoretical powder X-ray diffraction pattern in this record (Cu Kα, 1.54184 Å).
Neutral-atom scattering factors, no anomalous dispersion.

Top 10 peaks for 5° ≤ 2θ ≤ 70°, sorted by position:
10.29°, d 8.595, I = 37; 10.49°, d 8.430, I = 40; 16.54°, d 5.359, I = 50; 20.16°, d 4.405, I = 31; 20.67°, d 4.298, I = 20; 25.66°, d 3.472, I = 50; 27.31°, d 3.266, I = 100; 33.59°, d 2.668, I = 25; 41.69°, d 2.167, I = 33; 42.91°, d 2.107, I = 15

Atomic structure:
abc: 10.927 16.860 7.593
angles: 90.00 113.88 90.00
Space group C2/c (No. 15)
Symmetry-distinct sites (fractional):
Np 0.000 0.073 0.250 [4 per cell]
Hg 0.000 0.430 0.750 [4 per cell]
I 0.172 0.059 0.680 [8 per cell]
I 0.182 0.190 0.217 [8 per cell]



(4)
For PmHg2IO6, a crystal structure in Alexandria, relaxed with GGA-PBE gives the theoretical powder X-ray diffraction pattern in this record (Cu Kα, 1.54184 Å).
Neutral-atom scattering factors, no anomalous dispersion.

Top 10 peaks for 5° ≤ 2θ ≤ 70°, sorted by position:
20.85°, d 4.260, I = 11; 29.04°, d 3.075, I = 100; 30.26°, d 2.953, I = 98; 33.99°, d 2.637, I = 11; 42.44°, d 2.130, I = 42; 50.70°, d 1.801, I = 13; 53.01°, d 1.728, I = 41; 53.76°, d 1.705, I = 27; 62.94°, d 1.477, I = 13; 68.85°, d 1.364, I = 11

Atomic structure:
abc: 5.9067 5.9067 15.3897
angles: 90.00 90.00 120.00
Space group R3 (No. 146, hexagonal axes)
Symmetry-distinct sites (fractional):
Pm 0.0000 0.0000 0.0000 [3 per cell]
Hg 0.0000 0.0000 0.2488 [3 per cell]
Hg 0.0000 0.0000 0.7823 [3 per cell]
I 0.0000 0.0000 0.4930 [3 per cell]
O 0.0482 0.3463 0.5699 [9 per cell]
O 0.0729 0.6949 0.0835 [9 per cell]



(5)
For PuHgIO6, a crystal structure in Alexandria, relaxed with GGA-PBE gives the theoretical powder X-ray diffraction pattern in this record (Cu Kα, 1.54184 Å).
Neutral-atom scattering factors, no anomalous dispersion.

Top 10 peaks for 5° ≤ 2θ ≤ 70°, sorted by position:
20.12°, d 4.412, I = 10; 25.67°, d 3.470, I = 100; 31.30°, d 2.858, I = 54; 36.94°, d 2.433, I = 10; 40.90°, d 2.206, I = 29; 49.18°, d 1.853, I = 43; 52.39°, d 1.746, I = 29; 55.70°, d 1.650, I = 17; 60.01°, d 1.542, I = 10; 68.73°, d 1.366, I = 11

Atomic structure:
abc: 5.7162 5.7162 9.7332
angles: 90.00 90.00 120.00
Space group P-31c (No. 163)
Symmetry-distinct sites (fractional):
Pu 0.3333 0.6667 0.2500 [2 per cell]
Hg 0.0000 0.0000 0.0000 [2 per cell]
I 0.3333 0.6667 0.7500 [2 per cell]
O 0.0073 0.3659 0.6377 [12 per cell]



(6)
For TaHgIO6, a crystal structure in Alexandria, relaxed with GGA-PBE gives the theoretical powder X-ray diffraction pattern in this record (Cu Kα, 1.54184 Å).
Neutral-atom scattering factors, no anomalous dispersion.

Top 10 peaks for 5° ≤ 2θ ≤ 70°, sorted by position:
16.71°, d 5.306, I = 20; 21.97°, d 4.045, I = 100; 23.31°, d 3.816, I = 87; 28.07°, d 3.179, I = 48; 30.70°, d 2.912, I = 65; 32.61°, d 2.746, I = 30; 34.98°, d 2.565, I = 21; 38.49°, d 2.339, I = 18; 41.26°, d 2.188, I = 26; 48.92°, d 1.862, I = 38

Atomic structure:
abc: 5.323 5.698 5.930
angles: 83.33 63.48 74.54
Space group P1 (No. 1)
Symmetry-distinct sites (fractional):
Ta 0.000 0.000 0.000 [1 per cell]
Hg 0.628 0.499 0.743 [1 per cell]
I 0.348 0.000 0.307 [1 per cell]
O 0.120 0.801 0.255 [1 per cell]
O 0.235 0.200 0.067 [1 per cell]
O 0.302 0.777 0.731 [1 per cell]
O 0.626 0.198 0.257 [1 per cell]
O 0.700 0.799 0.066 [1 per cell]
O 0.966 0.222 0.732 [1 per cell]